# Nd5Y5Er2
Calculated powder diffraction line list, λ = 1.5418 Å (Cu Kα). Input: a crystal structure in Alexandria, relaxed with PBE.
No peak broadening, texture or thermal motion is included.

Top 6 peaks for 10 to 90 degrees two-theta, most intense first:
(3 1 1), 2θ 30.36, I = 100; (0 2 0), 2θ 35.19, I = 50; (3 3 1), 2θ 60.18, I = 42; (6 0 2), 2θ 50.62, I = 36; (9 3 -1), 2θ 82.43, I = 17; (6 2 2), 2θ 63.15, I = 12

Cell lengths 15.310, 5.100, 11.398 Å; angles 90.00, 116.59, 90.00 degrees
Space group C2/m (No. 12)
Unique sites:
Nd 0.000 0.000 0.000 x2
Nd 0.082 0.000 0.748 x4
Nd 0.250 0.000 0.253 x4
Y 0.000 0.500 0.500 x2
Y 0.085 0.500 0.253 x4
Y 0.167 0.500 0.000 x4
Er 0.167 0.000 0.500 x4


# NdY4Er8
Calculated powder diffraction line list, λ = 1.5418 Å (Cu Kα). Input: a crystal structure in Alexandria, relaxed with PBE.
No peak broadening, texture or thermal motion is included.

Top 6 peaks for 10 to 90 degrees two-theta, most intense first:
(0 2 4), 2θ 31.28, I = 100; (2 0 5), 2θ 32.89, I = 38; (0 0 9), 2θ 30.01, I = 31; (2 2 0), 2θ 49.97, I = 30; (2 0 2), 2θ 29.02, I = 24; (2 0 8), 2θ 39.18, I = 23

Cell lengths 7.3012, 7.3012, 26.8022 Å; angles 90.00, 90.00, 120.00 degrees
Space group R-3m (No. 166, hexagonal axes)
Unique sites:
Nd 0.0000 0.0000 0.0000 x3
Y 0.0000 0.0000 0.5000 x3
Y 0.0000 0.5000 0.5000 x9
Er 0.0000 0.0000 0.2813 x6
Er 0.0397 0.5199 0.2696 x18


# Nd7Y3Er
Calculated powder diffraction line list, λ = 1.5418 Å (Cu Kα). Input: a crystal structure in Alexandria, relaxed with PBE.
No peak broadening, texture or thermal motion is included.

Top 6 peaks for 10 to 90 degrees two-theta, most intense first:
(2 3 1), 2θ 31.63, I = 100; (2 0 -2), 2θ 33.40, I = 82; (0 3 3), 2θ 30.92, I = 81; (0 0 4), 2θ 31.52, I = 55; (0 3 -1), 2θ 33.05, I = 48; (2 3 -3), 2θ 50.08, I = 40

Cell lengths 7.222, 10.321, 12.591 Å; angles 66.20, 73.37, 69.54 degrees
Space group P-1 (No. 2)
Unique sites:
Nd 0.079 0.307 0.026 x2
Nd 0.081 0.807 0.528 x2
Nd 0.210 0.750 0.250 x2
Nd 0.337 0.543 0.775 x2
Nd 0.344 0.043 0.275 x2
Nd 0.413 0.193 0.474 x2
Nd 0.416 0.693 0.972 x2
Y 0.169 0.933 0.726 x2
Y 0.172 0.433 0.226 x2
Y 0.500 0.000 0.000 x1
Y 0.500 0.500 0.500 x1
Er 0.000 0.000 0.000 x1
Er 0.000 0.500 0.500 x1


# Nd2Y6Er5
Calculated powder diffraction line list, λ = 1.5418 Å (Cu Kα). Input: a crystal structure in Alexandria, relaxed with PBE.
No peak broadening, texture or thermal motion is included.

Top 6 peaks for 10 to 90 degrees two-theta, most intense first:
(2 3 1), 2θ 32.13, I = 100; (1 4 1), 2θ 31.53, I = 57; (1 7 0), 2θ 31.93, I = 56; (3 5 0), 2θ 31.81, I = 50; (4 1 0), 2θ 30.80, I = 50; (2 4 1), 2θ 34.25, I = 35

Cell lengths 11.732, 20.205, 3.586 Å; angles 90.00, 90.00, 90.00 degrees
Space group Pbam (No. 55)
Unique sites:
Nd 0.164 0.214 0.000 x4
Y 0.057 0.921 0.000 x4
Y 0.083 0.633 0.000 x4
Y 0.177 0.373 0.500 x4
Er 0.000 0.500 0.500 x2
Er 0.095 0.776 0.500 x4
Er 0.200 0.049 0.500 x4


# Nd2Y7Er4
Calculated powder diffraction line list, λ = 1.5418 Å (Cu Kα). Input: a crystal structure in Alexandria, relaxed with PBE.
No peak broadening, texture or thermal motion is included.

Top 6 peaks for 10 to 90 degrees two-theta, most intense first:
(1 3 2), 2θ 31.72, I = 100; (0 0 4), 2θ 30.30, I = 90; (1 3 -3), 2θ 35.36, I = 66; (0 0 2), 2θ 15.02, I = 50; (2 2 -2), 2θ 35.18, I = 42; (0 4 1), 2θ 32.39, I = 41

Cell lengths 6.358, 11.371, 11.814 Å; angles 90.00, 92.75, 90.00 degrees
Space group Cm (No. 8)
Unique sites:
Nd 0.000 0.164 0.000 x4
Y 0.000 0.500 0.000 x2
Y 0.181 0.000 0.262 x2
Y 0.183 0.321 0.236 x4
Y 0.317 0.179 0.764 x4
Y 0.319 0.500 0.738 x2
Er 0.000 0.226 0.500 x4
Er 0.217 0.500 0.446 x2
Er 0.285 0.000 0.553 x2


# Nd3Y4Er4
Calculated powder diffraction line list, λ = 1.5418 Å (Cu Kα). Input: a crystal structure in Alexandria, relaxed with PBE.
No peak broadening, texture or thermal motion is included.

Top 6 peaks for 10 to 90 degrees two-theta, most intense first:
(2 1 3), 2θ 32.02, I = 100; (0 2 0), 2θ 31.29, I = 38; (3 1 1), 2θ 30.65, I = 29; (2 3 3), 2θ 56.15, I = 22; (1 0 4), 2θ 30.81, I = 16; (4 0 0), 2θ 33.83, I = 15

Cell lengths 10.599, 5.718, 12.070 Å; angles 90.00, 90.00, 90.00 degrees
Space group Amm2 (No. 38)
Unique sites:
Nd 0.000 0.000 0.000 x2
Nd 0.289 0.000 0.154 x4
Y 0.000 0.000 0.705 x2
Y 0.212 0.000 0.494 x4
Y 0.500 0.000 0.632 x2
Er 0.000 0.000 0.298 x2
Er 0.300 0.000 0.850 x4
Er 0.500 0.000 0.359 x2


# Nd3Y5Er2
Calculated powder diffraction line list, λ = 1.5418 Å (Cu Kα). Input: a crystal structure in Alexandria, relaxed with PBE.
No peak broadening, texture or thermal motion is included.

Top 6 peaks for 10 to 90 degrees two-theta, most intense first:
(2 2 1), 2θ 30.64, I = 100; (2 4 -2), 2θ 29.96, I = 77; (4 0 -2), 2θ 33.20, I = 46; (0 4 2), 2θ 32.15, I = 31; (2 6 -1), 2θ 37.28, I = 26; (4 4 0), 2θ 46.88, I = 22

Cell lengths 10.796, 16.175, 9.377 Å; angles 90.00, 125.03, 90.00 degrees
Space group C2/c (No. 15)
Unique sites:
Nd 0.000 0.231 0.250 x4
Nd 0.145 0.125 0.046 x8
Y 0.000 0.026 0.250 x4
Y 0.000 0.274 0.750 x4
Y 0.000 0.472 0.750 x4
Y 0.242 0.383 0.235 x8
Er 0.150 0.380 0.546 x8


# Nd7Y2Er4
Calculated powder diffraction line list, λ = 1.5418 Å (Cu Kα). Input: a crystal structure in Alexandria, relaxed with PBE.
No peak broadening, texture or thermal motion is included.

Top 6 peaks for 10 to 90 degrees two-theta, most intense first:
(2 1 0), 2θ 30.31, I = 100; (1 3 2), 2θ 35.19, I = 34; (4 0 1), 2θ 60.14, I = 25; (2 3 -1), 2θ 50.50, I = 18; (3 2 3), 2θ 50.60, I = 18; (1 0 -3), 2θ 35.05, I = 17

Cell lengths 6.251, 8.067, 9.557 Å; angles 65.16, 83.94, 82.60 degrees
Space group P-1 (No. 2)
Unique sites:
Nd 0.000 0.000 0.000 x1
Nd 0.076 0.845 0.694 x2
Nd 0.232 0.538 0.077 x2
Nd 0.386 0.232 0.462 x2
Y 0.156 0.691 0.385 x2
Er 0.307 0.382 0.770 x2
Er 0.462 0.074 0.152 x2


# Nd2YEr7
Calculated powder diffraction line list, λ = 1.5418 Å (Cu Kα). Input: a crystal structure in Alexandria, relaxed with PBE.
No peak broadening, texture or thermal motion is included.

Top 6 peaks for 10 to 90 degrees two-theta, most intense first:
(1 0 5), 2θ 31.49, I = 100; (1 2 1), 2θ 30.80, I = 86; (2 0 0), 2θ 32.98, I = 45; (0 2 4), 2θ 33.37, I = 40; (2 2 4), 2θ 47.63, I = 29; (1 4 5), 2θ 62.16, I = 29

Cell lengths 5.432, 7.021, 16.667 Å; angles 90.00, 90.00, 90.00 degrees
Space group Immm (No. 71)
Unique sites:
Nd 0.000 0.000 0.198 x4
Y 0.000 0.500 0.000 x2
Er 0.000 0.000 0.000 x2
Er 0.000 0.249 0.392 x8
Er 0.000 0.500 0.200 x4


# Nd4YEr7
Calculated powder diffraction line list, λ = 1.5418 Å (Cu Kα). Input: a crystal structure in Alexandria, relaxed with PBE.
No peak broadening, texture or thermal motion is included.

Top 6 peaks for 10 to 90 degrees two-theta, most intense first:
(1 -2 0), 2θ 31.64, I = 100; (2 0 -1), 2θ 31.95, I = 52; (2 0 2), 2θ 31.10, I = 40; (0 0 3), 2θ 30.46, I = 36; (1 2 2), 2θ 32.06, I = 35; (-3 2 1), 2θ 56.76, I = 27

Cell lengths 6.561, 6.840, 9.045 Å; angles 84.61, 77.22, 81.41 degrees
Space group P-1 (No. 2)
Unique sites:
Nd 0.138 0.307 0.287 x2
Nd 0.335 0.886 0.692 x2
Y 0.500 0.500 0.000 x1
Er 0.013 0.252 0.951 x2
Er 0.182 0.798 0.356 x2
Er 0.313 0.395 0.618 x2
Er 0.500 0.000 0.000 x1


# Nd2Y5Er12
Calculated powder diffraction line list, λ = 1.5418 Å (Cu Kα). Input: a crystal structure in Alexandria, relaxed with PBE.
No peak broadening, texture or thermal motion is included.

Top 6 peaks for 10 to 90 degrees two-theta, most intense first:
(1 3 1), 2θ 31.69, I = 100; (5 1 -1), 2θ 31.50, I = 83; (2 2 -2), 2θ 30.71, I = 77; (4 2 1), 2θ 31.88, I = 50; (1 1 -3), 2θ 33.53, I = 50; (3 3 1), 2θ 35.72, I = 46

Cell lengths 15.831, 9.151, 8.485 Å; angles 90.00, 91.28, 90.00 degrees
Space group C2/m (No. 12)
Unique sites:
Nd 0.000 0.187 0.000 x4
Y 0.000 0.500 0.500 x2
Y 0.198 0.000 0.006 x4
Y 0.234 0.500 0.577 x4
Er 0.056 0.000 0.329 x4
Er 0.094 0.500 0.885 x4
Er 0.126 0.192 0.652 x8
Er 0.157 0.319 0.247 x8


# Nd2YEr8
Calculated powder diffraction line list, λ = 1.5418 Å (Cu Kα). Input: a crystal structure in Alexandria, relaxed with PBE.
No peak broadening, texture or thermal motion is included.

Top 6 peaks for 10 to 90 degrees two-theta, most intense first:
(2 0 2), 2θ 31.24, I = 100; (2 2 1), 2θ 33.18, I = 85; (3 1 -2), 2θ 32.45, I = 69; (0 2 1), 2θ 30.38, I = 66; (5 1 0), 2θ 30.67, I = 53; (5 1 -1), 2θ 31.61, I = 41

Cell lengths 16.498, 6.592, 6.630 Å; angles 90.00, 99.97, 90.00 degrees
Space group C2/m (No. 12)
Unique sites:
Nd 0.245 0.000 0.311 x4
Y 0.000 0.000 0.000 x2
Er 0.087 0.261 0.402 x8
Er 0.088 0.500 0.905 x4
Er 0.200 0.000 0.803 x4